# 1
This entry pairs a crystal structure of Fe2P3O12 with its calculated PXRD pattern. Radiation: Cu Kα X-rays. Structure: a structure optimized by DFT (PBE+U).
No peak broadening, texture or thermal motion is included.

Top 12 peaks for 2θ from 10° to 80°, by angle:
2theta, d (Å), I_rel
14.4, 6.156, 58.8
19.9, 4.470, 68.0
20.9, 4.245, 27.0
24.1, 3.695, 100.0
29.0, 3.078, 54.2
31.8, 2.812, 45.7
32.5, 2.758, 14.7
36.0, 2.492, 14.2
36.7, 2.451, 14.6
47.4, 1.918, 18.8
52.3, 1.750, 18.2
57.4, 1.604, 13.4

Atomic structure:
```
Fe2P3O12
1.0
4.2450 2.4509 7.5070
-4.2450 2.4509 7.5070
0.0000 -4.9017 7.5070
Fe P O
4 6 24
Direct
0.1406 0.1406 0.1406
0.3542 0.3542 0.3542
0.6458 0.6458 0.6458
0.8594 0.8594 0.8594
0.0371 0.7450 0.4675
0.2550 0.5325 0.9629
0.4675 0.0371 0.7450
0.5325 0.9629 0.2550
0.7450 0.4675 0.0371
0.9629 0.2550 0.5325
0.0066 0.7943 0.6239
0.1108 0.8871 0.2684
0.1129 0.7316 0.8892
0.1565 0.2301 0.5158
0.1796 0.5385 0.4896
0.2057 0.3761 0.9934
0.2301 0.5158 0.1565
0.2684 0.1108 0.8871
0.3761 0.9934 0.2057
0.4615 0.5104 0.8204
0.4842 0.8435 0.7699
0.4896 0.1796 0.5385
0.5104 0.8204 0.4615
0.5158 0.1565 0.2301
0.5385 0.4896 0.1796
0.6239 0.0066 0.7943
0.7316 0.8892 0.1129
0.7699 0.4842 0.8435
0.7943 0.6239 0.0066
0.8204 0.4614 0.5104
0.8435 0.7699 0.4842
0.8871 0.2684 0.1108
0.8892 0.1129 0.7316
0.9934 0.2057 0.3761
```



# 2
This entry pairs a crystal structure of Ba2Co3O7 with its calculated PXRD pattern. Radiation: Cu Kα X-rays. Structure: a structure optimized by DFT (PBE+U).
No peak broadening, texture or thermal motion is included.

Top 12 peaks for 2θ from 10° to 80°, by angle:
2theta, d (Å), I_rel
13.6, 6.499, 38.5
27.5, 3.246, 74.4
27.6, 3.232, 29.8
31.6, 2.834, 100.0
31.7, 2.823, 35.8
33.9, 2.645, 71.2
34.5, 2.599, 44.9
48.6, 1.874, 25.1
48.8, 1.867, 24.0
49.1, 1.857, 23.3
49.2, 1.851, 20.1
62.3, 1.491, 22.9

Atomic structure:
```
Ba2Co3O7
1.0
3.7339 0.0000 0.0000
0.0025 3.7483 0.0000
0.0537 0.0085 12.9970
Ba Co O
2 3 7
Direct
0.0000 0.0000 0.0000
0.0025 0.0008 0.6141
0.4981 0.4992 0.1797
0.4991 0.5006 0.8068
0.5051 0.5007 0.4321
0.0050 0.5006 0.4486
0.4968 0.0006 0.8065
0.4980 0.9992 0.1752
0.5007 0.5003 0.9451
0.5018 0.5009 0.6680
0.5049 0.0006 0.4463
0.9983 0.4992 0.1596
```



# 3
This entry pairs a crystal structure of NdMgCuW2O8 with its calculated PXRD pattern. Radiation: Cu Kα X-rays. Structure: a structure optimized by DFT (PBE+U).
No peak broadening, texture or thermal motion is included.

Top 12 peaks for 2θ from 10° to 80°, by angle:
2theta, d (Å), I_rel
14.2, 6.238, 18.1
18.6, 4.766, 36.3
25.0, 3.565, 100.0
28.8, 3.103, 13.7
29.4, 3.034, 16.9
31.3, 2.862, 18.4
31.6, 2.833, 13.5
33.8, 2.653, 42.5
37.4, 2.405, 12.6
46.2, 1.964, 12.8
47.4, 1.920, 14.7
49.7, 1.834, 14.0

Atomic structure:
```
NdMgCuW2O8
1.0
5.3199 0.0000 0.0000
-2.3459 5.5311 0.0000
-0.2965 -1.8573 6.2376
Nd Mg Cu W O
1 1 1 2 8
Direct
0.0000 0.0000 0.0000
0.0000 0.0000 0.5000
0.5000 0.0000 0.5000
0.2782 0.5341 0.6614
0.7218 0.4659 0.3386
0.0124 0.7109 0.6470
0.0325 0.2536 0.7699
0.4582 0.2944 0.5435
0.4919 0.2418 0.0983
0.5081 0.7582 0.9017
0.5418 0.7056 0.4565
0.9675 0.7464 0.2301
0.9876 0.2891 0.3530
```



Repeat the first record exactly.
This entry pairs a crystal structure of Fe2P3O12 with its calculated PXRD pattern. Radiation: Cu Kα X-rays. Structure: a structure optimized by DFT (PBE+U).
No peak broadening, texture or thermal motion is included.

Top 12 peaks for 2θ from 10° to 80°, by angle:
2theta, d (Å), I_rel
14.4, 6.156, 58.8
19.9, 4.470, 68.0
20.9, 4.245, 27.0
24.1, 3.695, 100.0
29.0, 3.078, 54.2
31.8, 2.812, 45.7
32.5, 2.758, 14.7
36.0, 2.492, 14.2
36.7, 2.451, 14.6
47.4, 1.918, 18.8
52.3, 1.750, 18.2
57.4, 1.604, 13.4

Atomic structure:
```
Fe2P3O12
1.0
4.2450 2.4509 7.5070
-4.2450 2.4509 7.5070
0.0000 -4.9017 7.5070
Fe P O
4 6 24
Direct
0.1406 0.1406 0.1406
0.3542 0.3542 0.3542
0.6458 0.6458 0.6458
0.8594 0.8594 0.8594
0.0371 0.7450 0.4675
0.2550 0.5325 0.9629
0.4675 0.0371 0.7450
0.5325 0.9629 0.2550
0.7450 0.4675 0.0371
0.9629 0.2550 0.5325
0.0066 0.7943 0.6239
0.1108 0.8871 0.2684
0.1129 0.7316 0.8892
0.1565 0.2301 0.5158
0.1796 0.5385 0.4896
0.2057 0.3761 0.9934
0.2301 0.5158 0.1565
0.2684 0.1108 0.8871
0.3761 0.9934 0.2057
0.4615 0.5104 0.8204
0.4842 0.8435 0.7699
0.4896 0.1796 0.5385
0.5104 0.8204 0.4615
0.5158 0.1565 0.2301
0.5385 0.4896 0.1796
0.6239 0.0066 0.7943
0.7316 0.8892 0.1129
0.7699 0.4842 0.8435
0.7943 0.6239 0.0066
0.8204 0.4614 0.5104
0.8435 0.7699 0.4842
0.8871 0.2684 0.1108
0.8892 0.1129 0.7316
0.9934 0.2057 0.3761
```



> Number 3 is which compound?

NdMgCuW2O8